Starting from a GGA-PBE-relaxed structure, the powder X-ray diffraction pattern of BaTaGaB2 was calculated for Cu Kα (weighted mean of Kα1 and Kα2).
Lines closer than 0.1° are merged.

Main lines, by intensity (15 to 90 degrees two-theta):
| Position (°2θ) | d [Å] | I (rel.) | hkl |
| --- | --- | --- | --- |
| 27.69 | 3.221 | 100 | 1 1 0 |
| 26.39 | 3.377 | 94 | 1 0 1 |
| 45.76 | 1.983 | 52 | 1 1 2 |
| 39.57 | 2.278 | 46 | 2 0 0 |
| 48.19 | 1.888 | 37 | 2 1 1 |
| 54.33 | 1.689 | 36 | 2 0 2 |
| 35.68 | 2.516 | 31 | 0 0 2 |
| 19.49 | 4.556 | 25 | 1 0 0 |
| 76.14 | 1.250 | 23 | 3 1 2 |
| 64.71 | 1.441 | 19 | 3 1 0 |

Structural model:
a = 4.5555 Å, b = 4.5555 Å, c = 5.0326 Å
α = 90.00°, β = 90.00°, γ = 90.00°
Space group P4/mmm (No. 123)
Inequivalent atoms, fractional coordinates:
Ba (0.0000, 0.0000, 0.0000) (multiplicity 1)
Ta (0.5000, 0.5000, 0.5000) (multiplicity 1)
Ga (0.5000, 0.5000, 0.0000) (multiplicity 1)
B (0.0000, 0.5000, 0.5000) (multiplicity 2)

---

Starting from a GGA-PBE-relaxed structure, the powder X-ray diffraction pattern of BaB2H was calculated for Cu Kα (weighted mean of Kα1 and Kα2).
Lines closer than 0.1° are merged.

Main lines, by intensity (15 to 90 degrees two-theta):
| Position (°2θ) | d [Å] | I (rel.) | hkl |
| --- | --- | --- | --- |
| 16.26 | 5.451 | 100 | 0 0 4 |
| 29.20 | 3.058 | 78 | 1 0 3 |
| 26.76 | 3.332 | 66 | 1 0 1 |
| 38.66 | 2.329 | 64 | 1 1 2 |
| 33.60 | 2.667 | 53 | 1 0 5 |
| 57.23 | 1.610 | 40 | 2 0 4 |
| 45.51 | 1.993 | 40 | 1 1 6 |
| 32.86 | 2.726 | 32 | 0 0 8 |
| 39.38 | 2.288 | 24 | 1 0 7 |
| 61.67 | 1.504 | 18 | 2 1 1 |

Structural model:
a = 3.3713 Å, b = 3.3713 Å, c = 21.8046 Å
α = 90.00°, β = 90.00°, γ = 90.00°
Space group I4_1/amd (No. 141, origin choice 2)
Inequivalent atoms, fractional coordinates:
Ba (0.0000, 0.2500, 0.3750) (multiplicity 4)
B (0.0000, 0.0000, 0.0000) (multiplicity 8)
H (0.0000, 0.2500, 0.8750) (multiplicity 4)

---

Starting from a GGA-PBE-relaxed structure, the powder X-ray diffraction pattern of BaBH4 was calculated for Cu Kα (weighted mean of Kα1 and Kα2).
Lines closer than 0.1° are merged.

Main lines, by intensity (15 to 90 degrees two-theta):
| Position (°2θ) | d [Å] | I (rel.) | hkl |
| --- | --- | --- | --- |
| 23.42 | 3.798 | 100 | 0 1 1 |
| 27.55 | 3.238 | 92 | 1 1 0 |
| 22.84 | 3.894 | 49 | 1 0 -1 |
| 28.09 | 3.177 | 42 | 0 0 2 |
| 26.02 | 3.425 | 39 | 1 0 1 |
| 37.64 | 2.389 | 36 | 1 1 -2 |
| 41.76 | 2.163 | 28 | 1 1 2 |
| 44.80 | 2.023 | 28 | 1 2 -1 |
| 46.63 | 1.948 | 26 | 2 0 -2 |
| 47.90 | 1.899 | 19 | 0 2 2 |

Structural model:
a = 4.4774 Å, b = 4.7382 Å, c = 6.4132 Å
α = 90.00°, β = 97.82°, γ = 90.00°
Space group P2_1/m (No. 11)
Inequivalent atoms, fractional coordinates:
Ba (0.2305, 0.2500, 0.2613) (multiplicity 2)
B (0.3126, 0.2500, 0.7957) (multiplicity 2)
H (0.0627, 0.2500, 0.8599) (multiplicity 2)
H (0.2899, 0.0435, 0.6654) (multiplicity 4)
H (0.5000, 0.0000, 0.0000) (multiplicity 2)

---

Starting from a GGA-PBE-relaxed structure, the powder X-ray diffraction pattern of Ba2Na2B10H2O19 was calculated for Cu Kα (weighted mean of Kα1 and Kα2).
Lines closer than 0.1° are merged.

Main lines, by intensity (15 to 90 degrees two-theta):
| Position (°2θ) | d [Å] | I (rel.) | hkl |
| --- | --- | --- | --- |
| 24.70 | 3.605 | 100 | 1 1 2 |
| 26.59 | 3.352 | 89 | 3 1 0 |
| 30.62 | 2.920 | 65 | 2 2 0 |
| 18.14 | 4.890 | 58 | 1 1 1 |
| 31.98 | 2.798 | 55 | 1 1 -3 |
| 40.98 | 2.202 | 52 | 1 1 -4 |
| 28.76 | 3.104 | 50 | 3 1 1 |
| 32.91 | 2.722 | 45 | 4 0 1 |
| 26.36 | 3.381 | 43 | 0 2 0 |
| 23.93 | 3.719 | 43 | 1 1 -2 |

Structural model:
a = 11.6040 Å, b = 6.7618 Å, c = 9.4158 Å
α = 90.00°, β = 93.64°, γ = 90.00°
Space group C2 (No. 5)
Inequivalent atoms, fractional coordinates:
Ba (0.1688, 0.0000, 0.3927) (multiplicity 4)
Na (0.0000, 0.1935, 0.0000) (multiplicity 2)
Na (0.0000, 0.7068, 0.0000) (multiplicity 2)
B (0.0322, 0.6679, 0.6746) (multiplicity 4)
B (0.0503, 0.3033, 0.6374) (multiplicity 4)
B (0.1190, 0.4388, 0.2307) (multiplicity 4)
B (0.1624, 0.9792, 0.7260) (multiplicity 4)
B (0.2486, 0.9363, 0.9727) (multiplicity 4)
H (0.2110, 0.3286, 0.8268) (multiplicity 4)
O (0.0000, 0.2309, 0.5000) (multiplicity 2)
O (0.0328, 0.2869, 0.2504) (multiplicity 4)
O (0.0661, 0.8628, 0.6536) (multiplicity 4)
O (0.0698, 0.6412, 0.2597) (multiplicity 4)
O (0.0936, 0.5131, 0.6255) (multiplicity 4)
O (0.1412, 0.4390, 0.0727) (multiplicity 4)
O (0.1502, 0.9621, 0.8850) (multiplicity 4)
O (0.1557, 0.1872, 0.6792) (multiplicity 4)
O (0.2271, 0.3960, 0.3137) (multiplicity 4)
O (0.2300, 0.9071, 0.1151) (multiplicity 4)

---

Starting from a GGA-PBE-relaxed structure, the powder X-ray diffraction pattern of Ba2B6H4O13 was calculated for Cu Kα (weighted mean of Kα1 and Kα2).
Lines closer than 0.1° are merged.

Main lines, by intensity (15 to 90 degrees two-theta):
| Position (°2θ) | d [Å] | I (rel.) | hkl |
| --- | --- | --- | --- |
| 16.45 | 5.388 | 100 | 1 1 0 |
| 28.73 | 3.107 | 59 | 1 1 2 |
| 32.27 | 2.774 | 57 | 0 3 1 |
| 27.29 | 3.268 | 50 | 1 2 1 |
| 24.75 | 3.597 | 49 | 1 1 -2 |
| 30.44 | 2.937 | 33 | 2 0 -2 |
| 29.28 | 3.050 | 26 | 0 2 2 |
| 43.90 | 2.062 | 25 | 1 4 -1 |
| 42.28 | 2.137 | 23 | 1 2 3 |
| 25.27 | 3.524 | 22 | 1 2 -1 |

Structural model:
a = 6.9343 Å, b = 8.8111 Å, c = 8.6085 Å
α = 90.00°, β = 100.91°, γ = 90.00°
Space group P2_1 (No. 4)
Inequivalent atoms, fractional coordinates:
Ba (0.1935, 0.0000, 0.2835) (multiplicity 2)
Ba (0.2453, 0.8572, 0.7651) (multiplicity 2)
B (0.0740, 0.6429, 0.0590) (multiplicity 2)
B (0.0969, 0.6344, 0.3664) (multiplicity 2)
B (0.1390, 0.3631, 0.0514) (multiplicity 2)
B (0.3566, 0.4312, 0.4111) (multiplicity 2)
B (0.3663, 0.5334, 0.9646) (multiplicity 2)
B (0.4550, 0.7074, 0.4523) (multiplicity 2)
H (0.1829, 0.1961, 0.6079) (multiplicity 2)
H (0.3265, 0.4507, 0.7400) (multiplicity 2)
H (0.3806, 0.1573, 0.0043) (multiplicity 2)
H (0.4356, 0.7287, 0.2095) (multiplicity 2)
O (0.0091, 0.4822, 0.0361) (multiplicity 2)
O (0.0427, 0.7037, 0.2080) (multiplicity 2)
O (0.0610, 0.2230, 0.0765) (multiplicity 2)
O (0.0823, 0.1228, 0.5615) (multiplicity 2)
O (0.1642, 0.4719, 0.3631) (multiplicity 2)
O (0.2489, 0.7289, 0.4666) (multiplicity 2)
O (0.2685, 0.5324, 0.7941) (multiplicity 2)
O (0.2807, 0.6591, 0.0395) (multiplicity 2)
O (0.3324, 0.3824, 0.0396) (multiplicity 2)
O (0.4110, 0.2786, 0.4106) (multiplicity 2)
O (0.4187, 0.0499, 0.0146) (multiplicity 2)
O (0.4945, 0.2789, 0.6916) (multiplicity 2)
O (0.4980, 0.0397, 0.5463) (multiplicity 2)

---

- What is the formula in the fifth record?
  Ba2B6H4O13

---

- Which formula does entry 5 have?
  Ba2B6H4O13